(1)
Diffraction record for La6CoNiAg2. The powder X-ray diffraction pattern is simulated, not measured: it uses a DFT-relaxed cell (GGA-PBE, Alexandria) and Cu Kα.

Top 6 peaks for 2θ = 15–90°, sorted by position:
27.7°, I = 1000
28.5°, I = 567
30.8°, I = 404
33.7°, I = 768
40.3°, I = 255
49.9°, I = 248

```
La6CoNiAg2
1.0
7.3249 0.0000 0.0000
3.2486 6.5670 0.0000
3.2291 2.0266 6.2695
La Co Ni Ag
6 1 1 2
direct
0.1520 0.2543 0.3410 La
0.2420 0.1586 0.8485 La
0.3435 0.6498 0.7574 La
0.6565 0.3502 0.2426 La
0.7580 0.8414 0.1515 La
0.8480 0.7457 0.6590 La
0.0000 0.5000 0.0000 Co
0.5000 0.0000 0.5000 Ni
0.2484 0.7522 0.2520 Ag
0.7516 0.2478 0.7480 Ag
```

(2)
Diffraction record for PrHoSc6. The powder X-ray diffraction pattern is simulated, not measured: it uses a DFT-relaxed cell (GGA-PBE, Alexandria) and Cu Kα.

Top 6 peaks for 2θ = 15–90°, sorted by position:
22.5°, I = 439
26.2°, I = 193
30.4°, I = 243
33.5°, I = 247
34.8°, I = 1000
65.0°, I = 198

```
PrHoSc6
1.0
5.3454 0.0000 0.0000
0.0000 3.4000 5.8900
0.0000 -3.4000 5.8900
Pr Ho Sc
1 1 6
direct
0.0000 0.0000 0.0000 Pr
0.5000 0.3322 0.3322 Ho
0.0000 0.5025 0.5025 Sc
0.0000 0.5043 0.9909 Sc
0.0000 0.9909 0.5043 Sc
0.5000 0.3425 0.8273 Sc
0.5000 0.8273 0.3425 Sc
0.5000 0.8285 0.8285 Sc
```

(3)
Diffraction record for Y3Ho2Tm9. The powder X-ray diffraction pattern is simulated, not measured: it uses a DFT-relaxed cell (GGA-PBE, Alexandria) and Cu Kα.

Top 6 peaks for 2θ = 15–90°, sorted by position:
31.7°, I = 1000
32.1°, I = 719
32.2°, I = 673
33.5°, I = 407
33.9°, I = 312
35.2°, I = 531

```
Y3Ho2Tm9
1.0
6.1776 0.0000 0.0000
0.3122 8.5891 0.0000
2.1799 1.3650 8.3073
Y Ho Tm
3 2 9
direct
0.0000 0.0000 0.0000 Y
0.1710 0.3280 0.1945 Y
0.6997 0.5814 0.6450 Y
0.3368 0.9190 0.6334 Ho
0.4706 0.0009 0.2326 Ho
0.0354 0.2666 0.6366 Tm
0.1448 0.5642 0.8319 Tm
0.2825 0.6273 0.4154 Tm
0.4682 0.1983 0.8264 Tm
0.4694 0.7366 0.9972 Tm
0.5996 0.2945 0.4253 Tm
0.7257 0.3600 0.0273 Tm
0.8539 0.6522 0.2238 Tm
0.9098 0.9572 0.4293 Tm
```

(4)
Diffraction record for Li4HO. The powder X-ray diffraction pattern is simulated, not measured: it uses a DFT-relaxed cell (GGA-PBE, Alexandria) and Cu Kα.

Top 6 peaks for 2θ = 15–90°, sorted by position:
20.1°, I = 1000
30.3°, I = 302
34.1°, I = 303
41.2°, I = 199
41.5°, I = 315
48.4°, I = 280

```
Li4HO
1.0
2.7140 -1.5113 0.0000
2.7140 1.5113 0.0000
-1.6676 0.0000 8.8521
Li H O
4 1 1
direct
0.1031 0.1031 0.3733 Li
0.3079 0.3079 0.9203 Li
0.6921 0.6921 0.0797 Li
0.8969 0.8969 0.6267 Li
0.5000 0.5000 0.5000 H
0.0000 0.0000 0.0000 O
```

(5)
Diffraction record for Tb4Sm2C. The powder X-ray diffraction pattern is simulated, not measured: it uses a DFT-relaxed cell (GGA-PBE, Alexandria) and Cu Kα.

Top 6 peaks for 2θ = 15–90°, sorted by position:
28.8°, I = 378
29.6°, I = 516
31.6°, I = 975
33.1°, I = 1000
50.7°, I = 413
59.8°, I = 428

```
Tb4Sm2C
1.0
1.7997 1.0390 18.1019
-1.7997 1.0390 18.1019
0.0000 -2.0781 18.1019
Tb Sm C
4 2 1
direct
0.1400 0.1400 0.1400 Tb
0.3585 0.3585 0.3585 Tb
0.6415 0.6415 0.6415 Tb
0.8600 0.8600 0.8600 Tb
0.2454 0.2454 0.2454 Sm
0.7546 0.7546 0.7546 Sm
0.0000 0.0000 0.0000 C
```